For Zn2NiIrO6, DFT lattice parameters and positions (GGA+U) gives the simulated PXRD pattern in this record (Cu Kα (weighted mean of Kα1 and Kα2)).

Crystal structure
Cell: 5.2295 5.2031 9.2505 Å, 90.00 123.41 90.00°
Atoms (fractional coordinates):
Zn  0.2267  0.0293  0.2432
Zn  0.2267  0.4707  0.7432
Zn  0.7733  0.5293  0.2568
Zn  0.7733  0.9707  0.7568
Ni  0.0000  0.0000  0.5000
Ni  0.0000  0.5000  0.0000
Ir  0.5000  0.0000  0.0000
Ir  0.5000  0.5000  0.5000
O  0.1486  0.0912  0.7610
O  0.1486  0.4088  0.2610
O  0.2320  0.6647  0.5558
O  0.2320  0.8353  0.0558
O  0.4173  0.1790  0.5736
O  0.4173  0.3210  0.0736
O  0.5827  0.6790  0.9264
O  0.5827  0.8210  0.4264
O  0.7680  0.1647  0.9442
O  0.7680  0.3353  0.4442
O  0.8514  0.5912  0.7390
O  0.8514  0.9088  0.2390

The 6 most intense peaks (5 to 70 degrees two-theta), by intensity:
2θ = 33.82°, rel. 100
2θ = 33.39°, rel. 99
2θ = 20.62°, rel. 69
2θ = 34.30°, rel. 49
2θ = 34.47°, rel. 47
2θ = 61.37°, rel. 44